Structure and simulated powder X-ray diffraction pattern of AcNdB12 (DFT lattice parameters and positions (GGA-PBE); copper Kα).
Peak positions follow from Bragg's law for the DFT cell and can differ from measured ones.

Principal peaks in the range 2θ from 10° to 90°, low angle first:
2theta	d/Å	I_rel	h k l
21.31	4.170	73.5	1 0 0
30.31	2.949	100.0	1 1 0
37.35	2.408	41.6	1 1 2
43.40	2.085	21.2	2 0 0
48.83	1.865	51.5	2 1 0
53.85	1.702	30.5	2 1 2
67.37	1.390	28.3	2 2 2
71.55	1.319	20.0	3 1 0
75.63	1.257	13.7	3 1 2
87.53	1.115	19.2	3 2 2

Cell and atoms:
```
data_AcNdB12
_space_group_name_H-M_alt 'P 4/m m m'
_space_group_IT_number 123
_space_group_name_Hall '-P 4 2'
_cell_length_a 4.171
_cell_length_b 4.171
_cell_length_c 8.336
_cell_angle_alpha 90.00
_cell_angle_beta 90.00
_cell_angle_gamma 90.00
loop_
_atom_site_label
_atom_site_type_symbol
_atom_site_fract_x
_atom_site_fract_y
_atom_site_fract_z
Ac1 Ac 0.000 0.000 0.000
Nd1 Nd 0.000 0.000 0.500
B1 B 0.200 0.500 0.253
B2 B 0.500 0.500 0.101
B3 B 0.500 0.500 0.401
```

Structure and simulated powder X-ray diffraction pattern of AcNi6B4 (DFT lattice parameters and positions (GGA-PBE); copper Kα).
Peak positions follow from Bragg's law for the DFT cell and can differ from measured ones.

Principal peaks in the range 2θ from 10° to 90°, low angle first:
2theta	d/Å	I_rel	h k l
25.97	3.431	56.2	2 0 -1
29.00	3.079	72.7	0 2 1
31.95	2.801	58.3	2 0 0
33.78	2.654	96.7	1 1 -2
34.08	2.630	99.4	2 2 -1
36.60	2.455	64.6	1 3 0
36.80	2.443	70.6	1 3 -1
38.59	2.333	52.5	0 0 2
45.92	1.976	66.8	1 3 1
46.43	1.956	100.0	2 0 1

Cell and atoms:
```
data_AcNi6B4
_space_group_name_H-M_alt 'C 1 m 1'
_space_group_IT_number 8
_cell_length_a 6.864
_cell_length_b 8.194
_cell_length_c 5.718
_cell_angle_alpha 90.00
_cell_angle_beta 125.30
_cell_angle_gamma 90.00
loop_
_space_group_symop_operation_xyz
'x,y,z'
'x,-y,z'
'x+1/2,y+1/2,z'
'x+1/2,-y+1/2,z'
loop_
_atom_site_label
_atom_site_type_symbol
_atom_site_fract_x
_atom_site_fract_y
_atom_site_fract_z
Ac1 Ac 0.000 0.000 0.000
Ni1 Ni 0.007 0.500 0.300
Ni2 Ni 0.062 0.353 0.952
Ni3 Ni 0.169 0.000 0.613
Ni4 Ni 0.375 0.260 0.474
B1 B 0.218 0.215 0.792
B2 B 0.298 0.500 0.319
B3 B 0.461 0.000 0.605
```

Structure and simulated powder X-ray diffraction pattern of AcNiB (DFT lattice parameters and positions (GGA-PBE); copper Kα).
Peak positions follow from Bragg's law for the DFT cell and can differ from measured ones.

Principal peaks in the range 2θ from 10° to 90°, low angle first:
2theta	d/Å	I_rel	h k l
26.54	3.358	38.0	0 2 0
28.37	3.146	100.0	1 1 1
30.37	2.943	24.5	1 0 2
32.51	2.754	56.1	0 1 3
33.21	2.698	18.9	0 2 2
40.76	2.214	22.8	1 2 2
46.92	1.936	16.7	2 0 0
48.00	1.895	22.7	1 3 1
54.30	1.690	19.2	1 2 4
58.26	1.584	21.4	2 1 3

Cell and atoms:
```
data_AcNiB
_space_group_name_H-M_alt 'P 21 21 21'
_space_group_IT_number 19
_cell_length_a 3.872
_cell_length_b 6.718
_cell_length_c 9.059
_cell_angle_alpha 90.00
_cell_angle_beta 90.00
_cell_angle_gamma 90.00
loop_
_space_group_symop_operation_xyz
'x,y,z'
'-x+1/2,-y,z+1/2'
'x+1/2,-y+1/2,-z'
'-x,y+1/2,-z+1/2'
loop_
_atom_site_label
_atom_site_type_symbol
_atom_site_fract_x
_atom_site_fract_y
_atom_site_fract_z
Ac1 Ac 0.248 0.237 0.314
Ni1 Ni 0.244 0.866 0.501
B1 B 0.244 0.567 0.514
```

Structure and simulated powder X-ray diffraction pattern of AcNi6B3 (DFT lattice parameters and positions (GGA-PBE); copper Kα).
Peak positions follow from Bragg's law for the DFT cell and can differ from measured ones.

Principal peaks in the range 2θ from 10° to 90°, low angle first:
2theta	d/Å	I_rel	h k l
19.59	4.533	16.7	0 0 3
22.43	3.964	47.2	0 1 2
32.09	2.789	39.1	1 0 4
37.46	2.401	100.0	0 2 1
37.60	2.392	44.4	1 1 3
37.88	2.375	42.5	0 1 5
39.24	2.296	39.0	2 0 2
51.78	1.766	30.5	1 1 6
56.80	1.621	29.3	2 1 4
66.38	1.408	21.8	2 2 0

Cell and atoms:
```
data_AcNi6B3
_space_group_name_H-M_alt 'R 3 m'
_space_group_IT_number 160
_space_group_name_Hall 'R 3 -2"'
_cell_length_a 5.6330
_cell_length_b 5.6330
_cell_length_c 13.5976
_cell_angle_alpha 90.00
_cell_angle_beta 90.00
_cell_angle_gamma 120.00
loop_
_atom_site_label
_atom_site_type_symbol
_atom_site_fract_x
_atom_site_fract_y
_atom_site_fract_z
Ac1 Ac 0.0000 0.0000 0.0000
Ni1 Ni 0.0392 0.5196 0.0765
Ni2 Ni 0.1768 0.3537 0.2249
B1 B 0.0000 0.0000 0.2996
B2 B 0.0000 0.0000 0.6591
B3 B 0.0000 0.0000 0.7885
```